1.
The following is a simulated powder diffraction line list of Ho6Zn23. It was derived from DFT lattice parameters and positions (GGA-PBE), using Cu Kα X-rays.
Kinematic intensities with the Lorentz-polarization factor, no thermal factor.

Cell and atoms:
Cell lengths 12.6919, 12.6919, 12.6919 Å; angles 90.00, 90.00, 90.00 degrees
Space group Fm-3m (No. 225)
Symmetry-distinct sites (fractional):
Ho (0.0000, 0.0000, 0.2070) (multiplicity 24)
Zn (0.0000, 0.0000, 0.5000) (multiplicity 4)
Zn (0.0000, 0.2500, 0.2500) (multiplicity 24)
Zn (0.1222, 0.1222, 0.3778) (multiplicity 32)
Zn (0.1716, 0.1716, 0.1716) (multiplicity 32)

Largest 8 diffraction maxima, sorted by position, 15° ≤ 2θ ≤ 90°:
24.29 deg, intensity 14, (2 2 2); 30.71 deg, intensity 18, (3 3 1); 34.62 deg, intensity 28, (4 2 2); 36.80 deg, intensity 79, (3 3 3); 40.19 deg, intensity 100, (4 4 0); 42.75 deg, intensity 16, (6 0 0); 62.05 deg, intensity 21, (8 2 2); 74.37 deg, intensity 17, (9 3 3)

---

2.
The following is a simulated powder diffraction line list of HoZn12. It was derived from DFT lattice parameters and positions (GGA-PBE), using Cu Kα X-rays.
Kinematic intensities with the Lorentz-polarization factor, no thermal factor.

Cell and atoms:
Cell lengths 8.7602, 8.7602, 5.4111 Å; angles 90.00, 90.00, 90.00 degrees
Space group I4/mmm (No. 139)
Symmetry-distinct sites (fractional):
Ho (0.0000, 0.0000, 0.0000) (multiplicity 2)
Zn (0.0000, 0.2184, 0.5000) (multiplicity 8)
Zn (0.0000, 0.3517, 0.0000) (multiplicity 8)
Zn (0.2500, 0.2500, 0.2500) (multiplicity 8)

Largest 8 diffraction maxima, sorted by position, 15° ≤ 2θ ≤ 90°:
28.12 deg, intensity 24, (2 1 1); 34.91 deg, intensity 50, (3 0 1); 39.13 deg, intensity 81, (2 0 2); 40.71 deg, intensity 100, (3 2 1); 41.22 deg, intensity 56, (4 0 0); 44.46 deg, intensity 39, (2 2 2); 64.32 deg, intensity 25, (3 2 3); 73.74 deg, intensity 23, (6 0 2)